[1]
Diffraction record for La2Ge3Ir2. The powder X-ray diffraction pattern is simulated, not measured: it uses the GGA-PBE geometry in Alexandria and copper Kα.

Structural model:
```
data_La2Ge3Ir2
_symmetry_space_group_name_H-M 'C 1 2/m 1'
_symmetry_Int_Tables_number 12
_cell_length_a 10.7351
_cell_length_b 4.2515
_cell_length_c 7.1579
_cell_angle_alpha 90.00
_cell_angle_beta 117.14
_cell_angle_gamma 90.00
loop_
_symmetry_equiv_pos_as_xyz
'x,y,z'
'-x,-y,-z'
'-x,y,-z'
'x,-y,z'
'x+1/2,y+1/2,z'
'-x+1/2,-y+1/2,-z'
'-x+1/2,y+1/2,-z'
'x+1/2,-y+1/2,z'
loop_
_atom_site_label
_atom_site_fract_x
_atom_site_fract_y
_atom_site_fract_z
La1 0.1446 0.0000 0.2733
Ge1 0.0000 0.5000 0.5000
Ge2 0.1330 0.5000 0.9369
Ir1 0.1357 0.0000 0.7197
```

Main lines, sorted by position (10° ≤ 2θ ≤ 90°):
| d_spacing | I_rel | hkl |
| --- | --- | --- |
| 3.884 | 39.8 | 1 1 0 |
| 3.185 | 41.1 | 0 0 2 |
| 2.723 | 48.5 | 1 1 -2 |
| 2.549 | 100.0 | 4 0 -2 |
| 2.480 | 91.9 | 3 1 -2 |
| 2.388 | 48.7 | 4 0 0 |
| 2.265 | 73.2 | 1 1 2 |
| 2.126 | 59.7 | 0 2 0 |

---

[2]
Diffraction record for La3PmSn2O. The powder X-ray diffraction pattern is simulated, not measured: it uses the GGA-PBE geometry in Alexandria and copper Kα.

Structural model:
```
data_La3PmSn2O
_symmetry_space_group_name_H-M 'I m m m'
_symmetry_Int_Tables_number 71
_symmetry_space_group_name_Hall '-I 2 2'
_cell_length_a 4.8281
_cell_length_b 4.8285
_cell_length_c 17.5855
_cell_angle_alpha 90.00
_cell_angle_beta 90.00
_cell_angle_gamma 90.00
loop_
_atom_site_label
_atom_site_fract_x
_atom_site_fract_y
_atom_site_fract_z
La1 0.0000 0.0000 0.0000
La2 0.0000 0.5000 0.3252
Pm1 0.0000 0.0000 0.5000
Sn1 0.0000 0.5000 0.1366
O1 0.0000 0.5000 0.5000
```

Main lines, sorted by position (10° ≤ 2θ ≤ 90°):
| d_spacing | I_rel | hkl |
| --- | --- | --- |
| 3.183 | 96.7 | 1 1 2 |
| 2.931 | 40.3 | 0 0 6 |
| 2.843 | 32.1 | 1 0 5 |
| 2.697 | 100.0 | 1 1 4 |
| 2.414 | 71.4 | 2 0 0 |
| 1.863 | 43.3 | 2 0 6 |
| 1.707 | 24.9 | 2 2 0 |
| 1.442 | 30.2 | 3 1 4 |

---

[3]
Diffraction record for Dy3Tm2Mg. The powder X-ray diffraction pattern is simulated, not measured: it uses the GGA-PBE geometry in Alexandria and copper Kα.

Structural model:
```
data_Dy3Tm2Mg
_symmetry_space_group_name_H-M 'P 4/m m m'
_symmetry_Int_Tables_number 123
_symmetry_space_group_name_Hall '-P 4 2'
_cell_length_a 3.5301
_cell_length_b 3.5301
_cell_length_c 14.2890
_cell_angle_alpha 90.00
_cell_angle_beta 90.00
_cell_angle_gamma 90.00
loop_
_atom_site_label
_atom_site_fract_x
_atom_site_fract_y
_atom_site_fract_z
Dy1 0.0000 0.0000 0.0000
Dy2 0.0000 0.0000 0.3440
Tm1 0.5000 0.5000 0.1735
Mg1 0.5000 0.5000 0.5000
```

Main lines, sorted by position (10° ≤ 2θ ≤ 90°):
| d_spacing | I_rel | hkl |
| --- | --- | --- |
| 2.836 | 100.0 | 1 0 3 |
| 2.496 | 36.0 | 1 1 0 |
| 2.381 | 14.4 | 0 0 6 |
| 1.765 | 13.7 | 2 0 0 |
| 1.723 | 21.7 | 1 1 6 |
| 1.499 | 29.3 | 2 1 3 |
| 1.448 | 10.9 | 1 0 9 |
| 1.418 | 11.4 | 2 0 6 |

---

[4]
Diffraction record for KCdRe4. The powder X-ray diffraction pattern is simulated, not measured: it uses the GGA-PBE geometry in Alexandria and copper Kα.

Structural model:
```
data_KCdRe4
_symmetry_space_group_name_H-M 'F -4 3 m'
_symmetry_Int_Tables_number 216
_symmetry_space_group_name_Hall 'F -4 2 3'
_cell_length_a 7.6286
_cell_length_b 7.6286
_cell_length_c 7.6286
_cell_angle_alpha 90.00
_cell_angle_beta 90.00
_cell_angle_gamma 90.00
loop_
_atom_site_label
_atom_site_fract_x
_atom_site_fract_y
_atom_site_fract_z
K1 0.0000 0.0000 0.0000
Cd1 0.2500 0.2500 0.2500
Re1 0.1248 0.1248 0.6248
```

Main lines, sorted by position (10° ≤ 2θ ≤ 90°):
| d_spacing | I_rel | hkl |
| --- | --- | --- |
| 4.404 | 52.6 | 1 1 1 |
| 2.300 | 100.0 | 3 1 1 |
| 2.202 | 69.8 | 2 2 2 |
| 1.907 | 21.3 | 4 0 0 |
| 1.750 | 13.6 | 3 3 1 |
| 1.468 | 32.2 | 3 3 3 |
| 1.349 | 31.4 | 4 4 0 |
| 1.150 | 27.2 | 6 2 2 |

---

[5]
Diffraction record for SrBi2Ir2. The powder X-ray diffraction pattern is simulated, not measured: it uses the GGA-PBE geometry in Alexandria and copper Kα.

Structural model:
```
data_SrBi2Ir2
_symmetry_space_group_name_H-M 'I 4/m m m'
_symmetry_Int_Tables_number 139
_symmetry_space_group_name_Hall '-I 4 2'
_cell_length_a 4.7675
_cell_length_b 4.7675
_cell_length_c 11.1388
_cell_angle_alpha 90.00
_cell_angle_beta 90.00
_cell_angle_gamma 90.00
loop_
_atom_site_label
_atom_site_fract_x
_atom_site_fract_y
_atom_site_fract_z
Sr1 0.0000 0.0000 0.0000
Bi1 0.0000 0.5000 0.2500
Ir1 0.0000 0.0000 0.3884
```

Main lines, sorted by position (10° ≤ 2θ ≤ 90°):
| d_spacing | I_rel | hkl |
| --- | --- | --- |
| 4.383 | 35.2 | 1 0 1 |
| 2.929 | 25.8 | 1 0 3 |
| 2.884 | 100.0 | 1 1 2 |
| 2.384 | 72.2 | 2 0 0 |
| 2.147 | 64.6 | 1 1 4 |
| 1.686 | 25.5 | 2 2 0 |
| 1.455 | 26.2 | 3 1 2 |
| 1.326 | 28.5 | 3 1 4 |

---

[6]
Diffraction record for U3Al2Si3. The powder X-ray diffraction pattern is simulated, not measured: it uses the GGA-PBE geometry in Alexandria and copper Kα.

Structural model:
```
data_U3Al2Si3
_symmetry_space_group_name_H-M 'I 4 c m'
_symmetry_Int_Tables_number 108
_symmetry_space_group_name_Hall 'I 4 -2c'
_cell_length_a 7.5745
_cell_length_b 7.5745
_cell_length_c 10.9377
_cell_angle_alpha 90.00
_cell_angle_beta 90.00
_cell_angle_gamma 90.00
loop_
_atom_site_label
_atom_site_fract_x
_atom_site_fract_y
_atom_site_fract_z
U1 0.0000 0.0000 0.0000
U2 0.1544 0.3456 0.2103
Al1 0.1412 0.3588 0.9046
Si1 0.0000 0.0000 0.2515
Si2 0.1485 0.3515 0.5273
```

Main lines, sorted by position (10° ≤ 2θ ≤ 90°):
| d_spacing | I_rel | hkl |
| --- | --- | --- |
| 3.827 | 68.1 | 1 1 2 |
| 3.236 | 100.0 | 2 1 1 |
| 3.114 | 49.3 | 2 0 2 |
| 2.734 | 32.6 | 0 0 4 |
| 2.482 | 90.8 | 2 1 3 |
| 2.395 | 72.7 | 3 1 0 |
| 1.802 | 38.7 | 3 1 4 |
| 1.313 | 26.7 | 5 2 3 |

---

[7]
Diffraction record for Th3Cd3Hg2. The powder X-ray diffraction pattern is simulated, not measured: it uses the GGA-PBE geometry in Alexandria and copper Kα.

Structural model:
```
data_Th3Cd3Hg2
_symmetry_space_group_name_H-M 'C m c m'
_symmetry_Int_Tables_number 63
_symmetry_space_group_name_Hall '-C 2c 2'
_cell_length_a 4.8907
_cell_length_b 11.2281
_cell_length_c 15.6554
_cell_angle_alpha 90.00
_cell_angle_beta 90.00
_cell_angle_gamma 90.00
loop_
_atom_site_label
_atom_site_fract_x
_atom_site_fract_y
_atom_site_fract_z
Th1 0.0000 0.0824 0.1083
Th2 0.0000 0.3278 0.2500
Cd1 0.0000 0.3851 0.7500
Cd2 0.0000 0.3861 0.0401
Hg1 0.0000 0.2114 0.6073
```

Main lines, sorted by position (10° ≤ 2θ ≤ 90°):
| d_spacing | I_rel | hkl |
| --- | --- | --- |
| 2.949 | 89.0 | 1 1 4 |
| 2.920 | 25.9 | 1 3 1 |
| 2.763 | 32.2 | 0 4 1 |
| 2.583 | 100.0 | 1 3 3 |
| 2.445 | 51.1 | 2 0 0 |
| 2.367 | 33.9 | 1 3 4 |
| 1.785 | 22.1 | 2 0 6 |
| 1.436 | 21.7 | 3 3 3 |

---

[8]
Diffraction record for Cs3Bi2As. The powder X-ray diffraction pattern is simulated, not measured: it uses the GGA-PBE geometry in Alexandria and copper Kα.

Structural model:
```
data_Cs3Bi2As
_symmetry_space_group_name_H-M 'C 1 2/c 1'
_symmetry_Int_Tables_number 15
_cell_length_a 11.2631
_cell_length_b 13.6042
_cell_length_c 7.6970
_cell_angle_alpha 90.00
_cell_angle_beta 95.71
_cell_angle_gamma 90.00
loop_
_symmetry_equiv_pos_as_xyz
'x,y,z'
'-x,-y,-z'
'-x,y,-z+1/2'
'x,-y,z+1/2'
'x+1/2,y+1/2,z'
'-x+1/2,-y+1/2,-z'
'-x+1/2,y+1/2,-z+1/2'
'x+1/2,-y+1/2,z+1/2'
loop_
_atom_site_label
_atom_site_fract_x
_atom_site_fract_y
_atom_site_fract_z
Cs1 0.0000 0.1074 0.2500
Cs2 0.1735 0.3868 0.0873
Bi1 0.1538 0.3096 0.5898
As1 0.0000 0.1838 0.7500
```

Main lines, sorted by position (10° ≤ 2θ ≤ 90°):
| d_spacing | I_rel | hkl |
| --- | --- | --- |
| 6.802 | 38.1 | 0 2 0 |
| 3.628 | 65.1 | 1 3 1 |
| 3.604 | 100.0 | 1 1 -2 |
| 3.025 | 53.8 | 2 0 2 |
| 2.884 | 98.8 | 1 3 -2 |
| 2.766 | 51.0 | 2 4 -1 |
| 2.377 | 25.8 | 4 0 -2 |
| 2.041 | 34.6 | 0 4 3 |